[1]
Sr2SiPdS: theoretical powder X-ray diffraction pattern (copper Kα), based on the GGA-PBE geometry in Alexandria.
Lines closer than 0.1° are merged.

Top 10 peaks for 2θ from 10° to 90°, in order of rising 2θ:
2θ (°)  I/Imax  index
14.98  59  1 0 0
20.24  54  0 0 1
25.28  28  1 0 1
29.51  30  1 1 1
30.23  100  2 0 0
36.65  49  2 0 1
43.27  36  2 2 0
48.22  23  2 2 1
51.91  42  2 0 2
61.25  25  2 2 2

Atomic structure:
```
data_Sr2SiPdS
_chemical_formula_sum 'Sr2 Si1 Pd1 S1'
_symmetry_space_group_name_H-M 'P 4/m m m'
_symmetry_Int_Tables_number 123
_symmetry_space_group_name_Hall '-P 4 2'
_cell_length_a 5.9136
_cell_length_b 5.9136
_cell_length_c 4.3865
_cell_angle_alpha 90.00
_cell_angle_beta 90.00
_cell_angle_gamma 90.00
loop_
_atom_site_label
_atom_site_type_symbol
_atom_site_fract_x
_atom_site_fract_y
_atom_site_fract_z
_atom_site_occupancy
Sr1 Sr 0.0000 0.5000 0.0000 1
Si1 Si 0.0000 0.0000 0.5000 1
Pd1 Pd 0.5000 0.5000 0.0000 1
S1 S 0.5000 0.5000 0.5000 1
```

[2]
Li3Pu3AuS8: theoretical powder X-ray diffraction pattern (copper Kα), based on the GGA-PBE geometry in Alexandria.
Lines closer than 0.1° are merged.

Top 10 peaks for 2θ from 10° to 90°, in order of rising 2θ:
2θ (°)  I/Imax  index
14.48  100  1 -1 0
26.04  28  1 1 0
27.16  45  1 1 -2
28.05  12  0 0 2
28.14  24  0 2 -2
31.60  27  0 2 0
33.52  48  2 0 -2
44.38  13  -3 1 2
46.04  19  2 0 2
47.36  17  0 2 -4

Atomic structure:
```
data_Li3Pu3AuS8
_chemical_formula_sum 'Li3 Pu3 Au1 S8'
_symmetry_space_group_name_H-M 'P -1'
_symmetry_Int_Tables_number 2
_symmetry_space_group_name_Hall '-P 1'
_cell_length_a 7.4601
_cell_length_b 7.6737
_cell_length_c 7.6738
_cell_angle_alpha 119.76
_cell_angle_beta 90.15
_cell_angle_gamma 117.13
loop_
_atom_site_label
_atom_site_type_symbol
_atom_site_fract_x
_atom_site_fract_y
_atom_site_fract_z
_atom_site_occupancy
Li1 Li 0.0000 0.0000 0.0000 1
Li2 Li 0.0000 0.0000 0.5000 1
Li3 Li 0.5000 0.5000 0.0000 1
Pu1 Pu 0.0000 0.5000 0.5000 1
Pu2 Pu 0.5000 0.0000 0.0000 1
Pu3 Pu 0.5000 0.0000 0.5000 1
Au1 Au 0.0000 0.5000 0.0000 1
S1 S 0.2315 0.9864 0.7445 1
S2 S 0.2403 0.5106 0.2265 1
S3 S 0.2400 0.5124 0.7841 1
S4 S 0.2949 0.0784 0.2890 1
```

[3]
Mg2Sc5Ir2Rh: theoretical powder X-ray diffraction pattern (copper Kα), based on the GGA-PBE geometry in Alexandria.
Lines closer than 0.1° are merged.

Top 10 peaks for 2θ from 10° to 90°, in order of rising 2θ:
2θ (°)  I/Imax  index
18.22  100  2 1 0
25.85  41  0 0 1
31.78  26  2 1 1
34.94  17  3 3 0
36.88  94  3 1 1
39.65  38  3 2 1
42.29  26  4 0 1
44.82  15  5 2 0
47.21  15  4 4 0
54.58  14  4 4 1

Atomic structure:
```
data_Mg2Sc5Ir2Rh
_chemical_formula_sum 'Mg4 Sc10 Ir4 Rh2'
_symmetry_space_group_name_H-M 'P 4/m b m'
_symmetry_Int_Tables_number 127
_symmetry_space_group_name_Hall '-P 4 2ab'
_cell_length_a 10.8902
_cell_length_b 10.8902
_cell_length_c 3.4512
_cell_angle_alpha 90.00
_cell_angle_beta 90.00
_cell_angle_gamma 90.00
loop_
_atom_site_label
_atom_site_type_symbol
_atom_site_fract_x
_atom_site_fract_y
_atom_site_fract_z
_atom_site_occupancy
Mg1 Mg 0.1759 0.3241 0.0000 1
Sc1 Sc 0.0000 0.5000 0.5000 1
Sc2 Sc 0.0671 0.8050 0.5000 1
Ir1 Ir 0.1318 0.6318 0.0000 1
Rh1 Rh 0.0000 0.0000 0.0000 1
```

[4]
Ti2Zn5Cu2: theoretical powder X-ray diffraction pattern (copper Kα), based on the GGA-PBE geometry in Alexandria.
Lines closer than 0.1° are merged.

Top 10 peaks for 2θ from 10° to 90°, in order of rising 2θ:
2θ (°)  I/Imax  index
26.96  7  0 3 1
34.65  11  2 3 1
41.77  20  0 0 2
42.06  100  2 5 1
43.52  34  4 0 0
48.93  13  2 2 2
61.90  11  4 0 2
75.84  9  0 10 2
76.46  15  2 5 3
78.89  14  6 5 1

Atomic structure:
```
data_Ti2Zn5Cu2
_chemical_formula_sum 'Ti8 Zn20 Cu8'
_symmetry_space_group_name_H-M 'I m m a'
_symmetry_Int_Tables_number 74
_symmetry_space_group_name_Hall '-I 2b 2'
_cell_length_a 8.3179
_cell_length_b 15.3991
_cell_length_c 4.3249
_cell_angle_alpha 90.00
_cell_angle_beta 90.00
_cell_angle_gamma 90.00
loop_
_atom_site_label
_atom_site_type_symbol
_atom_site_fract_x
_atom_site_fract_y
_atom_site_fract_z
_atom_site_occupancy
Ti1 Ti 0.2500 0.1405 0.2500 1
Zn1 Zn 0.0000 0.1485 0.7382 1
Zn2 Zn 0.0000 0.2500 0.2466 1
Zn3 Zn 0.2500 0.0425 0.7500 1
Cu1 Cu 0.0000 0.0000 0.0000 1
Cu2 Cu 0.2500 0.2500 0.7500 1
```

[5]
Pr4NiPb: theoretical powder X-ray diffraction pattern (copper Kα), based on the GGA-PBE geometry in Alexandria.
Lines closer than 0.1° are merged.

Top 10 peaks for 2θ from 10° to 90°, in order of rising 2θ:
2θ (°)  I/Imax  index
29.36  82  1 3 1
29.73  57  1 1 -2
30.48  69  3 1 -1
32.38  50  2 4 -1
32.70  61  1 5 0
34.38  29  1 5 -1
34.54  100  2 2 1
37.94  20  3 3 0
55.40  31  1 1 3
59.75  19  2 8 -2

Atomic structure:
```
data_Pr4NiPb
_chemical_formula_sum 'Pr16 Ni4 Pb4'
_symmetry_space_group_name_H-M 'C 1 2/c 1'
_symmetry_Int_Tables_number 15
_symmetry_space_group_name_Hall '-C 2yc'
_cell_length_a 9.0063
_cell_length_b 14.5266
_cell_length_c 6.1673
_cell_angle_alpha 90.00
_cell_angle_beta 115.02
_cell_angle_gamma 90.00
loop_
_atom_site_label
_atom_site_type_symbol
_atom_site_fract_x
_atom_site_fract_y
_atom_site_fract_z
_atom_site_occupancy
Pr1 Pr 0.1154 0.1879 0.0768 1
Pr2 Pr 0.2337 0.4288 0.3473 1
Ni1 Ni 0.0000 0.0009 0.7500 1
Pb1 Pb 0.0000 0.3822 0.7500 1
```

[6]
LiGaO2: theoretical powder X-ray diffraction pattern (copper Kα), based on the GGA-PBE geometry in Alexandria.
Lines closer than 0.1° are merged.

Top 10 peaks for 2θ from 10° to 90°, in order of rising 2θ:
2θ (°)  I/Imax  index
21.30  83  1 1 0
22.23  100  0 1 1
27.64  26  1 1 1
32.20  44  1 2 0
32.77  25  2 0 0
35.24  44  0 0 2
36.83  55  1 2 1
37.34  25  2 0 1
58.13  29  3 2 0
64.28  27  1 2 3

Atomic structure:
```
data_LiGaO2
_chemical_formula_sum 'Li4 Ga4 O8'
_symmetry_space_group_name_H-M 'P n a 21'
_symmetry_Int_Tables_number 33
_symmetry_space_group_name_Hall 'P 2c -2n'
_cell_length_a 5.4665
_cell_length_b 6.4571
_cell_length_c 5.0941
_cell_angle_alpha 90.00
_cell_angle_beta 90.00
_cell_angle_gamma 90.00
loop_
_atom_site_label
_atom_site_type_symbol
_atom_site_fract_x
_atom_site_fract_y
_atom_site_fract_z
_atom_site_occupancy
Li1 Li 0.0823 0.1244 0.0000 1
Ga1 Ga 0.0811 0.6261 0.0046 1
O1 O 0.0688 0.6125 0.3726 1
O2 O 0.0928 0.1382 0.3959 1
```

[7]
Zn4P5: theoretical powder X-ray diffraction pattern (copper Kα), based on the GGA-PBE geometry in Alexandria.
Lines closer than 0.1° are merged.

Top 10 peaks for 2θ from 10° to 90°, in order of rising 2θ:
2θ (°)  I/Imax  index
12.74  9  1 0 0
28.50  27  1 1 1
38.89  100  3 0 0
42.53  68  1 1 2
53.90  11  3 0 2
58.98  23  2 2 2
70.42  14  3 3 0
72.92  23  4 1 2
83.48  8  6 0 0
88.76  17  3 0 4

Atomic structure:
```
data_Zn4P5
_chemical_formula_sum 'Zn8 P10'
_symmetry_space_group_name_H-M 'P 63/m c m'
_symmetry_Int_Tables_number 193
_symmetry_space_group_name_Hall '-P 6c 2'
_cell_length_a 8.0225
_cell_length_b 8.0225
_cell_length_c 5.0133
_cell_angle_alpha 90.00
_cell_angle_beta 90.00
_cell_angle_gamma 120.00
loop_
_atom_site_label
_atom_site_type_symbol
_atom_site_fract_x
_atom_site_fract_y
_atom_site_fract_z
_atom_site_occupancy
Zn1 Zn 0.0000 0.0000 0.0000 1
Zn2 Zn 0.0000 0.3504 0.2500 1
P1 P 0.0000 0.3119 0.7500 1
P2 P 0.3333 0.6667 0.0000 1
```

[8]
PmScPt2: theoretical powder X-ray diffraction pattern (copper Kα), based on the GGA-PBE geometry in Alexandria.
Lines closer than 0.1° are merged.

Top 10 peaks for 2θ from 10° to 90°, in order of rising 2θ:
2θ (°)  I/Imax  index
24.07  23  0 1 1
26.16  23  1 1 -1
33.17  49  1 1 -2
34.19  100  0 1 2
34.58  39  2 0 -2
38.94  99  2 1 0
39.92  53  0 2 0
53.83  22  2 2 -2
68.29  20  1 2 -4
71.84  19  2 3 0

Atomic structure:
```
data_PmScPt2
_chemical_formula_sum 'Pm2 Sc2 Pt4'
_symmetry_space_group_name_H-M 'P 1 21/m 1'
_symmetry_Int_Tables_number 11
_symmetry_space_group_name_Hall '-P 2yb'
_cell_length_a 5.8012
_cell_length_b 4.5162
_cell_length_c 6.9379
_cell_angle_alpha 90.00
_cell_angle_beta 111.80
_cell_angle_gamma 90.00
loop_
_atom_site_label
_atom_site_type_symbol
_atom_site_fract_x
_atom_site_fract_y
_atom_site_fract_z
_atom_site_occupancy
Pm1 Pm 0.1798 0.2500 0.3911 1
Sc1 Sc 0.3682 0.7500 0.0993 1
Pt1 Pt 0.1131 0.2500 0.9001 1
Pt2 Pt 0.3651 0.7500 0.7133 1
```

[9]
Pm4PdPb2: theoretical powder X-ray diffraction pattern (copper Kα), based on the GGA-PBE geometry in Alexandria.
Lines closer than 0.1° are merged.

Top 10 peaks for 2θ from 10° to 90°, in order of rising 2θ:
2θ (°)  I/Imax  index
25.99  28  1 1 1
27.67  66  1 1 -2
29.72  44  3 1 -1
32.70  100  3 1 0
34.61  56  1 1 2
34.99  46  0 0 3
36.70  71  3 1 -3
38.27  57  0 2 0
52.81  29  0 2 3
66.84  30  4 2 2

Atomic structure:
```
data_Pm4PdPb2
_chemical_formula_sum 'Pm8 Pd2 Pb4'
_symmetry_space_group_name_H-M 'C 1 2/m 1'
_symmetry_Int_Tables_number 12
_symmetry_space_group_name_Hall '-C 2y'
_cell_length_a 11.7657
_cell_length_b 4.7041
_cell_length_c 8.9582
_cell_angle_alpha 90.00
_cell_angle_beta 120.81
_cell_angle_gamma 90.00
loop_
_atom_site_label
_atom_site_type_symbol
_atom_site_fract_x
_atom_site_fract_y
_atom_site_fract_z
_atom_site_occupancy
Pm1 Pm 0.0737 0.0000 0.3579 1
Pm2 Pm 0.1731 0.5000 0.0644 1
Pd1 Pd 0.0000 0.0000 0.0000 1
Pb1 Pb 0.1486 0.5000 0.6601 1
```

[10]
PrB4Rh5: theoretical powder X-ray diffraction pattern (copper Kα), based on the GGA-PBE geometry in Alexandria.
Lines closer than 0.1° are merged.

Top 10 peaks for 2θ from 10° to 90°, in order of rising 2θ:
2θ (°)  I/Imax  index
33.65  65  0 0 2
35.17  100  0 3 1
35.87  80  2 1 1
36.35  82  2 2 0
50.37  69  2 2 2
61.17  19  0 3 3
64.19  43  2 5 1
72.31  14  4 0 2
73.20  24  4 3 1
84.25  18  2 5 3

Atomic structure:
```
data_PrB4Rh5
_chemical_formula_sum 'Pr2 B8 Rh10'
_symmetry_space_group_name_H-M 'P m m n'
_symmetry_Int_Tables_number 59
_cell_length_a 5.9988
_cell_length_b 8.7226
_cell_length_c 5.3261
_cell_angle_alpha 90.00
_cell_angle_beta 90.00
_cell_angle_gamma 90.00
loop_
_symmetry_equiv_pos_as_xyz
'x,y,z'
'-x,-y,-z'
'-x+1/2,-y+1/2,z'
'x+1/2,y+1/2,-z'
'x+1/2,-y,-z'
'-x+1/2,y,z'
'-x,y+1/2,-z'
'x,-y+1/2,z'
loop_
_atom_site_label
_atom_site_type_symbol
_atom_site_fract_x
_atom_site_fract_y
_atom_site_fract_z
_atom_site_occupancy
Pr1 Pr 0.2500 0.2500 0.2219 1
B1 B 0.0915 0.7500 0.4155 1
B2 B 0.2500 0.5448 0.9819 1
Rh1 Rh 0.0011 0.0521 0.7472 1
Rh2 Rh 0.2500 0.7500 0.7638 1
```

[11]
BaNaNb2O7: theoretical powder X-ray diffraction pattern (copper Kα), based on the GGA-PBE geometry in Alexandria.
Lines closer than 0.1° are merged.

Top 10 peaks for 2θ from 10° to 90°, in order of rising 2θ:
2θ (°)  I/Imax  index
25.43  100  1 0 3
30.20  73  1 0 5
31.78  37  1 1 0
32.39  19  0 0 8
32.83  20  1 1 2
45.57  35  2 0 0
46.01  19  1 1 8
52.63  18  1 1 10
52.90  25  2 1 3
55.64  27  2 1 5

Atomic structure:
```
data_BaNaNb2O7
_chemical_formula_sum 'Ba2 Na2 Nb4 O14'
_symmetry_space_group_name_H-M 'I -4 m 2'
_symmetry_Int_Tables_number 119
_symmetry_space_group_name_Hall 'I -4 -2'
_cell_length_a 3.9816
_cell_length_b 3.9816
_cell_length_c 22.1147
_cell_angle_alpha 90.00
_cell_angle_beta 90.00
_cell_angle_gamma 90.00
loop_
_atom_site_label
_atom_site_type_symbol
_atom_site_fract_x
_atom_site_fract_y
_atom_site_fract_z
_atom_site_occupancy
Ba1 Ba 0.0000 0.0000 0.0000 1
Na1 Na 0.0000 0.5000 0.2500 1
Nb1 Nb 0.0000 0.0000 0.3884 1
O1 O 0.0000 0.0000 0.3070 1
O2 O 0.0000 0.0000 0.5000 1
O3 O 0.0000 0.5000 0.0947 1
O4 O 0.0000 0.5000 0.5933 1
```

[12]
Hf4TlBr7: theoretical powder X-ray diffraction pattern (copper Kα), based on the GGA-PBE geometry in Alexandria.
Lines closer than 0.1° are merged.

Top 10 peaks for 2θ from 10° to 90°, in order of rising 2θ:
2θ (°)  I/Imax  index
10.12  100  1 0 0
10.71  38  1 0 -1
13.09  45  1 0 -2
22.58  29  0 1 3
26.99  23  2 1 0
27.89  24  2 1 -2
34.34  51  2 1 4
35.49  45  0 2 0
37.94  78  0 1 7
38.95  27  3 1 -4

Atomic structure:
```
data_Hf4TlBr7
_chemical_formula_sum 'Hf8 Tl2 Br14'
_symmetry_space_group_name_H-M 'P 1 21 1'
_symmetry_Int_Tables_number 4
_symmetry_space_group_name_Hall 'P 2yb'
_cell_length_a 8.7862
_cell_length_b 5.0582
_cell_length_c 18.9188
_cell_angle_alpha 90.00
_cell_angle_beta 95.94
_cell_angle_gamma 90.00
loop_
_atom_site_label
_atom_site_type_symbol
_atom_site_fract_x
_atom_site_fract_y
_atom_site_fract_z
_atom_site_occupancy
Hf1 Hf 0.0804 0.0000 0.3907 1
Hf2 Hf 0.1006 0.4993 0.4910 1
Hf3 Hf 0.1091 0.5167 0.0072 1
Hf4 Hf 0.1224 0.0138 0.1111 1
Tl1 Tl 0.4948 0.5089 0.3187 1
Br1 Br 0.0351 0.4980 0.3417 1
Br2 Br 0.1166 0.5086 0.1556 1
Br3 Br 0.1844 0.5000 0.8745 1
Br4 Br 0.2399 0.4968 0.6256 1
Br5 Br 0.2647 0.0086 0.2662 1
Br6 Br 0.3509 0.8106 0.4520 1
Br7 Br 0.3685 0.8634 0.0542 1
```